(1)
# Na3Hg2
Simulated X-ray powder pattern, Cu Ka. Input: DFT lattice parameters and positions (PBE).
Peak positions follow from Bragg's law for the DFT cell and can differ from measured ones.

Atomic structure:
```
data_Na3Hg2
_chemical_formula_sum 'Na12 Hg8'
_space_group_name_H-M_alt 'P 42/m n m'
_space_group_IT_number 136
_space_group_name_Hall '-P 4n 2n'
_cell_length_a 8.9160
_cell_length_b 8.9160
_cell_length_c 7.0608
_cell_angle_alpha 90.00
_cell_angle_beta 90.00
_cell_angle_gamma 90.00
loop_
_atom_site_label
_atom_site_fract_x
_atom_site_fract_y
_atom_site_fract_z
Na1 0.0000 0.5000 0.0000
Na2 0.1253 0.1253 0.0000
Na3 0.1494 0.1494 0.5000
Hg1 0.1600 0.8400 0.2798
```

Main lines, low angle first (5° ≤ 2θ ≤ 70°):
h k l, two_theta, Rel. int.
1 1 0, 14.05, 24
2 0 0, 19.92, 21
2 1 0, 22.30, 98
0 0 2, 25.23, 22
3 1 0, 31.74, 40
2 1 2, 33.91, 100
3 3 0, 43.04, 21
4 1 2, 49.42, 29
3 3 2, 50.54, 21
5 2 2, 61.90, 23

=====

(2)
# NaHg11
Simulated X-ray powder pattern, Cu Ka. Input: DFT lattice parameters and positions (PBE).
Peak positions follow from Bragg's law for the DFT cell and can differ from measured ones.

Atomic structure:
```
data_NaHg11
_chemical_formula_sum 'Na1 Hg11'
_space_group_name_H-M_alt 'P 6/m m m'
_space_group_IT_number 191
_space_group_name_Hall '-P 6 2'
_cell_length_a 10.7819
_cell_length_b 10.7819
_cell_length_c 3.1756
_cell_angle_alpha 90.00
_cell_angle_beta 90.00
_cell_angle_gamma 120.00
loop_
_atom_site_label
_atom_site_fract_x
_atom_site_fract_y
_atom_site_fract_z
Na1 0.0000 0.0000 0.0000
Hg1 0.0000 0.5000 0.0000
Hg2 0.1674 0.3348 0.5000
Hg3 0.3333 0.6667 0.0000
```

Main lines, low angle first (5° ≤ 2θ ≤ 70°):
h k l, two_theta, Rel. int.
1 0 1, 29.72, 17
1 1 1, 32.73, 16
2 2 0, 33.24, 100
2 0 1, 34.15, 40
2 1 1, 38.12, 19
4 0 1, 48.39, 15
6 0 0, 59.39, 19
4 2 1, 59.97, 16
2 2 2, 68.60, 25
4 4 0, 69.78, 12

=====

(3)
# NaHg6
Simulated X-ray powder pattern, Cu Ka. Input: DFT lattice parameters and positions (PBE).
Peak positions follow from Bragg's law for the DFT cell and can differ from measured ones.

Atomic structure:
```
data_NaHg6
_chemical_formula_sum 'Na3 Hg18'
_space_group_name_H-M_alt 'R -3 m'
_space_group_IT_number 166
_space_group_name_Hall '-R 3 2"'
_cell_length_a 5.3390
_cell_length_b 5.3390
_cell_length_c 22.4113
_cell_angle_alpha 90.00
_cell_angle_beta 90.00
_cell_angle_gamma 120.00
loop_
_atom_site_label
_atom_site_fract_x
_atom_site_fract_y
_atom_site_fract_z
Na1 0.0000 0.0000 0.0000
Hg1 0.0000 0.0000 0.1397
Hg2 0.0000 0.0000 0.2814
Hg3 0.0000 0.0000 0.4265
```

Main lines, low angle first (5° ≤ 2θ ≤ 70°):
h k l, two_theta, Rel. int.
0 0 3, 11.85, 7
1 0 1, 19.60, 6
0 1 2, 20.78, 7
1 1 0, 33.57, 100
1 0 7, 34.06, 94
1 1 6, 41.58, 6
0 2 7, 48.57, 35
3 0 0, 60.03, 19
2 1 7, 60.34, 37
0 1 14, 61.28, 17

=====

(4)
# Na2Hg5
Simulated X-ray powder pattern, Cu Ka. Input: DFT lattice parameters and positions (PBE).
Peak positions follow from Bragg's law for the DFT cell and can differ from measured ones.

Atomic structure:
```
data_Na2Hg5
_chemical_formula_sum 'Na8 Hg20'
_space_group_name_H-M_alt 'C 1 2/c 1'
_space_group_IT_number 15
_space_group_name_Hall '-C 2yc'
_cell_length_a 15.0985
_cell_length_b 5.5022
_cell_length_c 8.7526
_cell_angle_alpha 90.00
_cell_angle_beta 95.32
_cell_angle_gamma 90.00
loop_
_atom_site_label
_atom_site_fract_x
_atom_site_fract_y
_atom_site_fract_z
Na1 0.0818 0.2215 0.1021
Hg1 0.0000 0.2788 0.7500
Hg2 0.1357 0.2760 0.4538
Hg3 0.2084 0.2289 0.8122
```

Main lines, low angle first (5° ≤ 2θ ≤ 70°):
h k l, two_theta, Rel. int.
1 1 1, 20.26, 33
0 2 0, 32.55, 55
4 0 2, 32.88, 55
5 1 -1, 34.71, 100
1 1 -3, 34.95, 96
4 2 2, 46.94, 37
1 3 -3, 59.63, 19
9 1 1, 59.74, 18
3 1 5, 60.21, 18
10 0 -2, 63.63, 24